The following is a simulated powder diffractogram of KLaP4O12. It was derived from a crystal structure in the Materials Project, relaxed with PBE, using a wavelength of 1.5418 Å.

Most intense lines, 2θ = 10–90°, by angle:
14.90 deg, intensity 74.1; 15.75 deg, intensity 49.1; 15.86 deg, intensity 40.1; 16.42 deg, intensity 57.7; 26.04 deg, intensity 100.0; 26.40 deg, intensity 76.6; 26.59 deg, intensity 48.6; 28.07 deg, intensity 72.5; 28.73 deg, intensity 62.1; 34.46 deg, intensity 31.3; 40.37 deg, intensity 32.6; 41.76 deg, intensity 31.8

Cell and atoms:
Lattice parameters (Å, degrees): 7.4081 8.6551 8.1908 90.00 91.99 90.00
Space group P2_1 (No. 4)
Unique sites:
K (0.2271, 0.0000, 0.2813) x2
La (0.2655, 0.6928, 0.7578) x2
P (0.0661, 0.0693, 0.9004) x2
P (0.1236, 0.4400, 0.3941) x2
P (0.3963, 0.2687, 0.8928) x2
P (0.4982, 0.0455, 0.6191) x2
O (0.0411, 0.2871, 0.3487) x2
O (0.0461, 0.5735, 0.2716) x2
O (0.0603, 0.6028, 0.9643) x2
O (0.1104, 0.4991, 0.5654) x2
O (0.1831, 0.9292, 0.9249) x2
O (0.1865, 0.2218, 0.8684) x2
O (0.3321, 0.4329, 0.3440) x2
O (0.3316, 0.9464, 0.6121) x2
O (0.4148, 0.4274, 0.8222) x2
O (0.4600, 0.2381, 0.0661) x2
O (0.4699, 0.6454, 0.5272) x2
O (0.4924, 0.6479, 0.2170) x2

***

The following is a simulated powder diffractogram of MoW2Se4S2. It was derived from a crystal structure in the Materials Project, relaxed with PBE, using a wavelength of 1.5418 Å.

Most intense lines, 2θ = 10–90°, by angle:
11.71 deg, intensity 100.0; 14.65 deg, intensity 20.3; 31.53 deg, intensity 21.3; 31.67 deg, intensity 10.5; 33.74 deg, intensity 12.8; 36.34 deg, intensity 38.8; 37.94 deg, intensity 44.2; 43.76 deg, intensity 21.0; 45.98 deg, intensity 33.7; 56.17 deg, intensity 24.4; 57.57 deg, intensity 10.5; 79.56 deg, intensity 9.9

Cell and atoms:
Lattice parameters (Å, degrees): 3.2766 3.2766 30.2252 90.00 90.00 120.00
Space group P3m1 (No. 156)
Unique sites:
Mo (0.0000, 0.0000, 0.0000) x1
W (0.0000, 0.0000, 0.4627) x1
W (0.3333, 0.6667, 0.2313) x1
Se (0.0000, 0.0000, 0.1751) x1
Se (0.0000, 0.0000, 0.2875) x1
Se (0.3333, 0.6667, 0.4065) x1
Se (0.3333, 0.6667, 0.5189) x1
S (0.3333, 0.6667, 0.0509) x1
S (0.3333, 0.6667, 0.9491) x1

***

The following is a simulated powder diffractogram of ZrCrNi. It was derived from a crystal structure in the Materials Project, relaxed with PBE, using a wavelength of 1.5418 Å.

Most intense lines, 2θ = 10–90°, by angle:
35.28 deg, intensity 39.8; 35.92 deg, intensity 21.4; 39.54 deg, intensity 34.8; 39.74 deg, intensity 76.4; 42.14 deg, intensity 100.0; 42.33 deg, intensity 39.5; 42.69 deg, intensity 44.0; 43.06 deg, intensity 66.7; 45.52 deg, intensity 18.9; 68.83 deg, intensity 21.3; 73.64 deg, intensity 25.7; 74.62 deg, intensity 23.3

Cell and atoms:
Lattice parameters (Å, degrees): 7.9716 4.9999 8.8640 90.00 90.00 90.00
Space group Amm2 (No. 38)
Unique sites:
Zr (0.1888, 0.0000, 0.0000) x4
Zr (0.3085, 0.0000, 0.3310) x4
Cr (0.2587, 0.0000, 0.6583) x4
Cr (0.5000, 0.2495, 0.0867) x4
Ni (0.0000, 0.0000, 0.4981) x2
Ni (0.0000, 0.2490, 0.7459) x4
Ni (0.5000, 0.0000, 0.8412) x2

***

The following is a simulated powder diffractogram of Te4MoW3Se2S2. It was derived from a crystal structure in the Materials Project, relaxed with PBE, using a wavelength of 1.5418 Å.

Most intense lines, 2θ = 10–90°, by angle:
10.88 deg, intensity 100.0; 13.06 deg, intensity 19.4; 30.39 deg, intensity 36.1; 32.35 deg, intensity 12.3; 34.15 deg, intensity 10.5; 35.24 deg, intensity 65.1; 42.16 deg, intensity 46.9; 43.79 deg, intensity 13.9; 53.97 deg, intensity 24.8; 66.11 deg, intensity 12.5; 70.76 deg, intensity 10.9; 74.25 deg, intensity 11.3

Cell and atoms:
Lattice parameters (Å, degrees): 3.3984 3.3984 40.6702 90.00 90.00 120.00
Space group P3m1 (No. 156)
Unique sites:
Te (0.0000, 0.0000, 0.0000) x1
Te (0.0000, 0.0000, 0.0926) x1
Te (0.3333, 0.6667, 0.8082) x1
Te (0.3333, 0.6667, 0.9008) x1
Mo (0.0000, 0.0000, 0.4806) x1
W (0.0000, 0.0000, 0.8545) x1
W (0.3333, 0.6667, 0.0463) x1
W (0.3333, 0.6667, 0.6683) x1
Se (0.3333, 0.6667, 0.4401) x1
Se (0.3333, 0.6667, 0.5211) x1
S (0.0000, 0.0000, 0.6313) x1
S (0.0000, 0.0000, 0.7054) x1